The following is a calculated powder XRD pattern of CaAl2Si2H4O10. It was derived from DFT lattice parameters and positions (GGA-PBE), using Cu Kα.
Intensities are scaled so that the largest is 100.

Structure:
```
38
Lattice="2.9481 -5.2867 0.0000 2.9481 5.2867 0.0000 0.0000 0.0000 13.8832" Properties=species:S:1:pos:R:3 pbc="T T T"
Ca 2.9481 3.8770 10.4124
Ca 2.9481 -3.8770 3.4708
Al 1.4741 2.6434 0.0000
Al 1.4741 2.6434 6.9416
Al 1.4741 -2.6434 0.0000
Al 1.4741 -2.6434 6.9416
Si 2.9481 3.0339 2.0778
Si 2.9481 3.0339 4.8638
Si 2.9481 -3.0339 9.0194
Si 2.9481 -3.0339 11.8054
H 2.9481 0.9118 8.0480
H 2.9481 0.9118 12.7769
H 2.9481 0.5039 2.7095
H 2.9481 0.5039 4.2321
H 2.9481 -0.5039 9.6511
H 2.9481 -0.5039 11.1737
H 2.9481 -0.9118 1.1063
H 2.9481 -0.9118 5.8353
O 1.5719 2.1585 1.9279
O 1.5719 2.1585 5.0137
O 2.9481 3.9648 3.4708
O 2.9481 3.8009 0.6065
O 2.9481 3.8009 6.3351
O 2.9481 1.5088 7.2877
O 2.9481 1.5088 13.5372
O 1.5719 -2.1585 8.8696
O 1.5719 -2.1585 11.9553
O 2.9481 0.1151 10.4124
O 2.9481 -0.1151 3.4708
O 4.3244 2.1585 1.9279
O 4.3244 2.1585 5.0137
O 2.9481 -1.5088 0.3461
O 2.9481 -1.5088 6.5956
O 2.9481 -3.8009 7.5481
O 2.9481 -3.8009 13.2767
O 2.9481 -3.9648 10.4124
O 4.3244 -2.1585 8.8696
O 4.3244 -2.1585 11.9553
```

Top 10 peaks for 10° ≤ 2θ ≤ 90°, low angle first:
2θ 16.77, I 100; 2θ 18.38, I 15; 2θ 21.12, I 13; 2θ 25.61, I 13; 2θ 29.53, I 16; 2θ 30.27, I 15; 2θ 32.28, I 17; 2θ 36.77, I 11; 2θ 40.09, I 15; 2θ 42.65, I 11